Computed X-ray diffraction stick pattern
Compound: Na3W2Cl4O4
Radiation: Cu Kα, 1.54184 Å
Structure: DFT lattice parameters and positions (PBE+U)
Kinematic intensities with the Lorentz-polarization factor, no thermal factor.

Main lines, by angle (10° ≤ 2θ ≤ 80°):
hkl  d_spacing  two_theta  intensity
0 0 2  7.845  11.3  100
1 1 1  3.868  23.0  91
1 1 3  3.173  28.1  26
0 2 0  2.842  31.5  18
2 0 0  2.802  31.9  17
0 0 6  2.615  34.3  17
1 1 5  2.467  36.4  37
2 2 0  1.995  45.5  19
1 1 7  1.954  46.5  16
2 2 6  1.586  58.2  14

Crystal structure
Unit cell a=5.604 b=5.684 c=15.690 alpha=90.00 beta=90.00 gamma=90.00
Space group Amm2 (No. 38)
One atom of each set of equivalent atoms:
Na1 0.000 0.000 0.000 (multiplicity 2)
Na2 0.000 0.000 0.265 (multiplicity 2)
Na3 0.500 0.000 0.506 (multiplicity 2)
W1 0.000 0.000 0.621 (multiplicity 2)
W2 0.500 0.000 0.120 (multiplicity 2)
Cl1 0.000 0.000 0.456 (multiplicity 2)
Cl2 0.000 0.000 0.777 (multiplicity 2)
Cl3 0.500 0.000 0.275 (multiplicity 2)
Cl4 0.500 0.000 0.958 (multiplicity 2)
O1 0.255 0.246 0.113 (multiplicity 8)